Computed powder XRD pattern
Compound: Ce3N
Radiation: Cu Ka
Structure: DFT lattice parameters and positions (PBE)

The 10 most intense peaks (10° ≤ 2θ ≤ 90°), in order of falling intensity:
| 2theta | intensity |
| --- | --- |
| 31.58 | 100 |
| 35.69 | 41 |
| 61.56 | 30 |
| 53.46 | 25 |
| 38.44 | 17 |
| 51.37 | 14 |
| 65.95 | 13 |
| 65.26 | 13 |
| 87.55 | 12 |
| 86.51 | 6 |

Structure:
abc: 3.5575 3.5575 14.0513
angles: 90.00 90.00 90.00
Fractional positions:
Ce: 0.0000 0.0000 0.0000
Ce: 0.0000 0.0000 0.3332
Ce: 0.0000 0.0000 0.6668
Ce: 0.5000 0.5000 0.1668
Ce: 0.5000 0.5000 0.5000
Ce: 0.5000 0.5000 0.8332
N: 0.0000 0.0000 0.5000
N: 0.5000 0.5000 0.0000

Computed powder XRD pattern
Compound: CsS3F
Radiation: Cu Ka
Structure: DFT lattice parameters and positions (PBE)

The 10 most intense peaks (10° ≤ 2θ ≤ 90°), in order of falling intensity:
| 2theta | intensity |
| --- | --- |
| 23.30 | 100 |
| 26.23 | 97 |
| 24.27 | 90 |
| 30.16 | 82 |
| 21.94 | 79 |
| 22.67 | 74 |
| 20.52 | 57 |
| 24.19 | 50 |
| 42.70 | 46 |
| 38.27 | 46 |

Structure:
abc: 4.4276 8.1504 8.6573
angles: 90.08 90.03 96.53
Fractional positions:
Cs: 0.0000 0.0000 0.0000
Cs: 0.4184 0.1468 0.5000
S: 0.1438 0.5662 0.2791
S: 0.2739 0.5801 0.7791
S: 0.5139 0.7497 0.3156
S: 0.6007 0.5261 0.9351
S: 0.8179 0.6215 0.4350
S: 0.9041 0.3967 0.8162
F: 0.5244 0.1169 0.8268
F: 0.8938 0.0301 0.3265

Computed powder XRD pattern
Compound: Al2Zn2Ag7
Radiation: Cu Ka
Structure: DFT lattice parameters and positions (PBE)

The 10 most intense peaks (10° ≤ 2θ ≤ 90°), in order of falling intensity:
| 2theta | intensity |
| --- | --- |
| 39.58 | 100 |
| 38.94 | 44 |
| 40.73 | 38 |
| 38.04 | 31 |
| 30.55 | 23 |
| 56.95 | 18 |
| 28.11 | 15 |
| 76.43 | 15 |
| 73.36 | 15 |
| 32.84 | 13 |

Structure:
abc: 7.2278 7.2278 7.2278
angles: 144.30 71.97 119.83
Fractional positions:
Al: 0.2098 0.0000 0.2098
Al: 0.7902 0.0000 0.7902
Zn: 0.2173 0.2173 0.0000
Zn: 0.5153 0.0153 0.5000
Ag: 0.0672 0.7056 0.3616
Ag: 0.3440 0.7056 0.6384
Ag: 0.3814 0.5199 0.8615
Ag: 0.6419 0.2986 0.3433
Ag: 0.6585 0.5199 0.1385
Ag: 0.8488 0.8488 0.0000
Ag: 0.9553 0.2986 0.6567

Computed powder XRD pattern
Compound: UTiNb2O10
Radiation: Cu Ka
Structure: DFT lattice parameters and positions (PBE)

The 10 most intense peaks (10° ≤ 2θ ≤ 90°), in order of falling intensity:
| 2theta | intensity |
| --- | --- |
| 28.30 | 100 |
| 20.42 | 64 |
| 20.81 | 46 |
| 35.15 | 44 |
| 54.67 | 27 |
| 50.11 | 27 |
| 40.93 | 24 |
| 14.94 | 20 |
| 28.96 | 19 |
| 53.25 | 15 |

Structure:
abc: 10.7444 9.4303 7.2820
angles: 78.87 59.45 41.68
Fractional positions:
U: 0.1250 0.1250 0.1250
U: 0.8750 0.8750 0.8750
Ti: 0.3750 0.3750 0.3750
Ti: 0.6250 0.6250 0.6250
Nb: 0.1557 0.1557 0.5943
Nb: 0.4057 0.4057 0.8443
Nb: 0.5943 0.5943 0.1557
Nb: 0.8443 0.8443 0.4057
O: 0.0213 0.0213 0.2287
O: 0.0715 0.6731 0.4763
O: 0.0795 0.6705 0.0795
O: 0.2287 0.2287 0.0213
O: 0.2600 0.2600 0.4900
O: 0.2790 0.4763 0.6731
O: 0.3269 0.9285 0.7210
O: 0.3295 0.9205 0.3295
O: 0.4763 0.2790 0.0715
O: 0.4900 0.4900 0.2600
O: 0.5100 0.5100 0.7400
O: 0.5237 0.7210 0.9285
O: 0.6705 0.0795 0.6705
O: 0.6731 0.0715 0.2790
O: 0.7210 0.5237 0.3269
O: 0.7400 0.7400 0.5100
O: 0.7713 0.7713 0.9787
O: 0.9205 0.3295 0.9205
O: 0.9285 0.3269 0.5237
O: 0.9787 0.9787 0.7713

Computed powder XRD pattern
Compound: Ca3CdIr
Radiation: Cu Ka
Structure: DFT lattice parameters and positions (PBE)

The 10 most intense peaks (10° ≤ 2θ ≤ 90°), in order of falling intensity:
| 2theta | intensity |
| --- | --- |
| 20.76 | 100 |
| 34.49 | 95 |
| 34.84 | 52 |
| 37.03 | 41 |
| 21.31 | 40 |
| 10.61 | 30 |
| 36.04 | 24 |
| 42.25 | 23 |
| 46.58 | 23 |
| 51.00 | 22 |

Structure:
abc: 9.7144 8.9578 5.9637
angles: 78.42 64.60 36.97
Fractional positions:
Ca: 0.1966 0.5791 0.4209
Ca: 0.2025 0.2025 0.7975
Ca: 0.4209 0.8034 0.1966
Ca: 0.5791 0.1966 0.8034
Ca: 0.7975 0.7975 0.2025
Ca: 0.8034 0.4209 0.5791
Cd: 0.2108 0.7892 0.7892
Cd: 0.7892 0.2108 0.2108
Ir: 0.2500 0.2500 0.2500
Ir: 0.7500 0.7500 0.7500

Computed powder XRD pattern
Compound: LiAgB2
Radiation: Cu Ka
Structure: DFT lattice parameters and positions (PBE)

The 10 most intense peaks (10° ≤ 2θ ≤ 90°), in order of falling intensity:
| 2theta | intensity |
| --- | --- |
| 26.47 | 100 |
| 38.58 | 69 |
| 21.37 | 56 |
| 30.60 | 43 |
| 49.89 | 32 |
| 37.63 | 25 |
| 46.46 | 20 |
| 58.06 | 20 |
| 43.54 | 15 |
| 62.70 | 15 |

Structure:
abc: 3.4385 3.4385 16.6303
angles: 90.00 90.00 90.00
Fractional positions:
Li: 0.0000 0.2500 0.3750
Li: 0.0000 0.7500 0.6250
Li: 0.5000 0.2500 0.1250
Li: 0.5000 0.7500 0.8750
Ag: 0.0000 0.2500 0.8750
Ag: 0.0000 0.7500 0.1250
Ag: 0.5000 0.2500 0.6250
Ag: 0.5000 0.7500 0.3750
B: 0.0000 0.0000 0.0000
B: 0.0000 0.5000 0.0000
B: 0.2500 0.2500 0.7500
B: 0.2500 0.7500 0.2500
B: 0.5000 0.0000 0.5000
B: 0.5000 0.5000 0.5000
B: 0.7500 0.2500 0.7500
B: 0.7500 0.7500 0.2500